For CrFe2GeO6, a GGA+U-relaxed structure gives the simulated powder XRD pattern in this record (Cu Ka).
Intensities are scaled so that the largest is 100.

Cell and atoms:
Lattice parameters (Å, degrees): 5.130 5.139 5.385 61.98 62.04 60.08
Space group P1 (No. 1)
One atom of each set of equivalent atoms:
Cr: 0.000 0.000 0.000
Fe: 0.212 0.209 0.365
Fe: 0.703 0.705 0.887
Ge: 0.495 0.498 0.509
O: 0.121 0.763 0.714
O: 0.296 0.625 0.212
O: 0.399 0.123 0.710
O: 0.625 0.869 0.217
O: 0.765 0.400 0.713
O: 0.869 0.294 0.216

The 8 most intense peaks (10 to 90 degrees two-theta), by angle:
23.97°, intensity 26; 33.12°, intensity 79; 33.37°, intensity 39; 34.94°, intensity 100; 49.07°, intensity 34; 53.78°, intensity 20; 54.00°, intensity 19; 62.70°, intensity 26